Starting from a cell relaxed with GGA-PBE, the X-ray powder pattern of Sc8CdIr2 was calculated for Cu Kα, 1.54184 Å.
Kinematic intensities with the Lorentz-polarization factor, no thermal factor.

Atomic structure:
Unit cell a=4.863 b=14.731 c=6.547 alpha=90.00 beta=90.00 gamma=90.00
Space group Imm2 (No. 44)
Unique sites:
Sc 0.000 0.000 0.000
Sc 0.000 0.114 0.560
Sc 0.000 0.291 0.872
Sc 0.000 0.332 0.412
Sc 0.000 0.500 0.777
Cd 0.000 0.500 0.204
Ir 0.000 0.171 0.177

Principal peaks in the range 2θ = 5–70°, low angle first:
two_theta, d_spacing, I/Imax, hkl
22.64, 3.928, 71, 0 3 1
22.78, 3.904, 61, 1 0 1
25.79, 3.455, 51, 1 3 0
33.40, 2.683, 22, 0 5 1
36.60, 2.455, 24, 0 6 0
36.97, 2.432, 43, 2 0 0
37.86, 2.376, 100, 1 3 2
43.55, 2.078, 39, 1 6 1
43.78, 2.068, 26, 2 3 1
45.47, 1.995, 25, 0 3 3


Starting from a cell relaxed with GGA-PBE, the X-ray powder pattern of Ho2GaS was calculated for Cu Kα, 1.54184 Å.
Kinematic intensities with the Lorentz-polarization factor, no thermal factor.

Atomic structure:
Unit cell a=4.126 b=21.800 c=3.938 alpha=90.00 beta=90.00 gamma=90.00
Space group Cmcm (No. 63)
Unique sites:
Ho 0.000 0.069 0.250
Ho 0.000 0.317 0.250
Ga 0.000 0.460 0.250
S 0.000 0.193 0.250

Principal peaks in the range 2θ = 5–70°, low angle first:
two_theta, d_spacing, I/Imax, hkl
27.95, 3.192, 49, 0 4 1
29.81, 2.997, 40, 1 5 0
31.68, 2.825, 100, 1 1 1
32.87, 2.725, 45, 0 8 0
33.80, 2.652, 24, 1 3 1
43.03, 2.102, 46, 1 7 1
43.89, 2.063, 27, 2 0 0
46.10, 1.969, 23, 0 0 2
49.39, 1.845, 19, 1 9 1
55.89, 1.645, 34, 2 8 0


Starting from a cell relaxed with GGA-PBE, the X-ray powder pattern of Li4PrHg12 was calculated for Cu Kα, 1.54184 Å.
Kinematic intensities with the Lorentz-polarization factor, no thermal factor.

Atomic structure:
Unit cell a=9.444 b=9.444 c=9.444 alpha=90.00 beta=90.00 gamma=90.00
Space group Im-3 (No. 204)
Unique sites:
Li 0.250 0.250 0.250
Pr 0.000 0.000 0.000
Hg 0.000 0.342 0.159

Principal peaks in the range 2θ = 5–70°, low angle first:
two_theta, d_spacing, I/Imax, hkl
29.92, 2.986, 100, 3 0 1
35.57, 2.524, 40, 3 1 2
40.53, 2.226, 5, 3 3 0
42.82, 2.112, 6, 4 0 2
45.03, 2.013, 8, 3 3 2
47.15, 1.928, 9, 4 2 2
49.20, 1.852, 29, 4 3 1
56.85, 1.620, 14, 5 3 0
58.66, 1.574, 20, 6 0 0
67.24, 1.392, 19, 6 1 3


Starting from a cell relaxed with GGA-PBE, the X-ray powder pattern of Nb4VW was calculated for Cu Kα, 1.54184 Å.
Kinematic intensities with the Lorentz-polarization factor, no thermal factor.

Atomic structure:
Unit cell a=13.204 b=5.281 c=6.492 alpha=90.00 beta=111.34 gamma=90.00
Space group C2/c (No. 15)
Unique sites:
Nb 0.085 0.119 0.162
Nb 0.169 0.336 0.596
V 0.250 0.250 0.000
W 0.000 0.412 0.750

Principal peaks in the range 2θ = 5–70°, low angle first:
two_theta, d_spacing, I/Imax, hkl
14.40, 6.149, 38, 2 0 0
34.27, 2.617, 69, 3 1 -2
37.16, 2.420, 100, 0 2 1
37.63, 2.391, 96, 2 0 2
38.13, 2.360, 96, 5 1 -1
40.45, 2.230, 47, 5 1 0
41.65, 2.168, 41, 5 1 -2
42.07, 2.148, 59, 2 2 1
45.66, 1.987, 64, 3 1 -3
62.72, 1.481, 21, 7 1 1